The following is a theoretical XRD peak list of NaFe3P3O13. It was derived from a cell relaxed with PBE+U, using λ = 1.5418 Å (Cu Kα).
No peak broadening, texture or thermal motion is included.

Largest 12 diffraction maxima, low angle first, 5 to 70 degrees two-theta:
16.34°, I 39
19.29°, I 100
22.51°, I 35
23.65°, I 47
26.53°, I 54
27.93°, I 65
29.62°, I 37
30.42°, I 60
32.20°, I 46
32.37°, I 33
35.40°, I 40
38.56°, I 40

Structural model:
Lattice parameters (Å, degrees): 7.6269 6.3886 10.4026 90.00 99.38 90.00
Sites, in units of the cell vectors:
Na: 0.1600 0.2500 0.1889
Na: 0.8400 0.7500 0.8111
Fe: 0.1417 0.2500 0.8036
Fe: 0.2861 0.7500 0.4395
Fe: 0.5000 0.0000 0.0000
Fe: 0.5000 0.5000 0.0000
Fe: 0.7139 0.2500 0.5605
Fe: 0.8582 0.7500 0.1964
P: 0.1890 0.7500 0.1149
P: 0.2429 0.7500 0.7627
P: 0.2817 0.2500 0.5152
P: 0.7183 0.7500 0.4848
P: 0.7571 0.2500 0.2373
P: 0.8110 0.2500 0.8851
O: 0.0037 0.2500 0.9600
O: 0.1295 0.5590 0.7868
O: 0.1295 0.9410 0.7868
O: 0.1495 0.7500 0.2583
O: 0.1497 0.2500 0.6124
O: 0.2478 0.0571 0.4249
O: 0.2478 0.4429 0.4249
O: 0.2928 0.5499 0.0908
O: 0.2928 0.9501 0.0908
O: 0.2958 0.7500 0.6271
O: 0.3784 0.2500 0.9080
O: 0.4174 0.7500 0.8683
O: 0.4744 0.2500 0.5909
O: 0.5256 0.7500 0.4091
O: 0.5826 0.2500 0.1317
O: 0.6216 0.7500 0.0920
O: 0.7042 0.2500 0.3729
O: 0.7072 0.0499 0.9092
O: 0.7072 0.4501 0.9092
O: 0.7522 0.5571 0.5751
O: 0.7522 0.9429 0.5751
O: 0.8503 0.7500 0.3876
O: 0.8505 0.2500 0.7417
O: 0.8705 0.0590 0.2132
O: 0.8705 0.4410 0.2132
O: 0.9963 0.7500 0.0400



The following is a theoretical XRD peak list of NaFePO4. It was derived from a cell relaxed with PBE+U, using λ = 1.5418 Å (Cu Kα).
No peak broadening, texture or thermal motion is included.

Largest 12 diffraction maxima, low angle first, 5 to 70 degrees two-theta:
19.22°, I 25
23.19°, I 13
32.43°, I 100
32.62°, I 40
35.54°, I 46
47.41°, I 34
50.31°, I 14
53.19°, I 13
58.09°, I 12
61.25°, I 16
63.10°, I 16
65.62°, I 19

Structural model:
Lattice parameters (Å, degrees): 5.0739 5.0739 6.8881 90.00 90.00 114.50
Sites, in units of the cell vectors:
Na: 0.1842 0.8158 0.7500
Na: 0.8158 0.1842 0.2500
Fe: 0.5000 0.5000 0.0000
Fe: 0.5000 0.5000 0.5000
P: 0.1638 0.8362 0.2500
P: 0.8362 0.1638 0.7500
O: 0.1760 0.2895 0.7500
O: 0.2686 0.7314 0.0677
O: 0.2686 0.7314 0.4323
O: 0.2895 0.1760 0.2500
O: 0.7105 0.8240 0.7500
O: 0.7314 0.2686 0.5677
O: 0.7314 0.2686 0.9323
O: 0.8240 0.7105 0.2500



The following is a theoretical XRD peak list of NaFePO4. It was derived from a cell relaxed with PBE+U, using λ = 1.5418 Å (Cu Kα).
No peak broadening, texture or thermal motion is included.

Largest 12 diffraction maxima, low angle first, 5 to 70 degrees two-theta:
19.70°, I 41
21.90°, I 25
24.22°, I 83
28.10°, I 56
31.12°, I 97
34.25°, I 100
34.55°, I 100
49.61°, I 62
52.53°, I 26
53.78°, I 27
54.10°, I 34
58.08°, I 38

Structural model:
Lattice parameters (Å, degrees): 4.9825 6.3517 10.5544 90.00 90.09 90.00
Sites, in units of the cell vectors:
Na: 0.0000 0.0000 0.0000
Na: 0.0000 0.5000 0.0000
Na: 0.5000 0.0000 0.5000
Na: 0.5000 0.5000 0.5000
Fe: 0.0112 0.2500 0.7130
Fe: 0.4878 0.2500 0.2132
Fe: 0.5122 0.7500 0.7868
Fe: 0.9888 0.7500 0.2870
P: 0.0609 0.7500 0.6077
P: 0.4397 0.7500 0.1079
P: 0.5603 0.2500 0.8921
P: 0.9391 0.2500 0.3923
O: 0.1544 0.7500 0.4667
O: 0.1945 0.5554 0.6743
O: 0.1945 0.9446 0.6743
O: 0.2481 0.2500 0.3841
O: 0.2510 0.2500 0.8837
O: 0.3069 0.5553 0.1745
O: 0.3069 0.9447 0.1745
O: 0.3453 0.7500 0.9670
O: 0.6547 0.2500 0.0330
O: 0.6931 0.0553 0.8255
O: 0.6931 0.4447 0.8255
O: 0.7490 0.7500 0.1163
O: 0.7519 0.7500 0.6159
O: 0.8055 0.0554 0.3257
O: 0.8055 0.4446 0.3257
O: 0.8456 0.2500 0.5333



The following is a theoretical XRD peak list of NaFeP3O9. It was derived from a cell relaxed with PBE+U, using λ = 1.5418 Å (Cu Kα).
No peak broadening, texture or thermal motion is included.

Largest 12 diffraction maxima, low angle first, 5 to 70 degrees two-theta:
19.64°, I 26
22.13°, I 100
22.83°, I 76
24.41°, I 36
24.77°, I 43
24.89°, I 25
30.59°, I 20
31.42°, I 48
32.16°, I 54
32.53°, I 66
33.82°, I 21
35.20°, I 23

Structural model:
Lattice parameters (Å, degrees): 8.6931 8.7761 9.0387 90.00 90.00 90.00
Sites, in units of the cell vectors:
Na: 0.1182 0.0975 0.1429
Na: 0.3818 0.9025 0.6429
Na: 0.6182 0.4025 0.8571
Na: 0.8818 0.5975 0.3571
Fe: 0.1071 0.8775 0.4092
Fe: 0.3929 0.1225 0.9092
Fe: 0.6071 0.6225 0.5908
Fe: 0.8929 0.3775 0.0908
P: 0.0579 0.9477 0.8101
P: 0.0740 0.7182 0.0622
P: 0.2300 0.5565 0.5588
P: 0.2700 0.4435 0.0588
P: 0.4260 0.2818 0.5622
P: 0.4421 0.0523 0.3101
P: 0.5579 0.5523 0.1899
P: 0.5740 0.7818 0.9378
P: 0.7300 0.9435 0.4412
P: 0.7700 0.0565 0.9412
P: 0.9260 0.2182 0.4378
P: 0.9421 0.4477 0.6899
O: 0.0304 0.7937 0.9054
O: 0.0563 0.1171 0.3893
O: 0.1018 0.9037 0.6560
O: 0.1146 0.5179 0.6949
O: 0.1262 0.8383 0.1689
O: 0.1340 0.3567 0.1179
O: 0.1399 0.6305 0.4355
O: 0.1618 0.0550 0.8944
O: 0.2173 0.6118 0.0087
O: 0.2827 0.3882 0.5087
O: 0.3382 0.9450 0.3944
O: 0.3601 0.3695 0.9355
O: 0.3660 0.6433 0.6179
O: 0.3738 0.1617 0.6689
O: 0.3854 0.4821 0.1949
O: 0.3982 0.0963 0.1560
O: 0.4437 0.8829 0.8893
O: 0.4696 0.2063 0.4054
O: 0.5304 0.7063 0.0946
O: 0.5563 0.3829 0.6107
O: 0.6018 0.5963 0.3440
O: 0.6146 0.9821 0.3051
O: 0.6262 0.6617 0.8311
O: 0.6340 0.1433 0.8821
O: 0.6399 0.8695 0.5645
O: 0.6618 0.4450 0.1056
O: 0.7173 0.8882 0.9913
O: 0.7827 0.1118 0.4913
O: 0.8382 0.5550 0.6056
O: 0.8601 0.1305 0.0645
O: 0.8660 0.8567 0.3821
O: 0.8738 0.3383 0.3311
O: 0.8854 0.0179 0.8051
O: 0.8982 0.4037 0.8440
O: 0.9437 0.6171 0.1107
O: 0.9696 0.2937 0.5946